[1]
Computed XRD peak list of Na6Cd16Au7 for Cu Kα, 1.54184 Å, from DFT lattice parameters and positions (GGA-PBE).
Neutral-atom scattering factors, no anomalous dispersion.

Top 6 peaks for 2θ = 10–90°, in order of falling intensity:
- 36.73 deg, I = 100
- 22.25 deg, I = 43
- 43.37 deg, I = 38
- 66.16 deg, I = 23
- 38.48 deg, I = 23
- 11.07 deg, I = 22

Structural model:
Unit cell a=9.786 b=9.786 c=9.786 alpha=60.00 beta=60.00 gamma=60.00
Fractional positions:
Na  0.208  0.208  0.792
Na  0.208  0.792  0.208
Na  0.208  0.792  0.792
Na  0.792  0.208  0.208
Na  0.792  0.208  0.792
Na  0.792  0.792  0.208
Cd  0.142  0.619  0.619
Cd  0.162  0.162  0.162
Cd  0.162  0.162  0.515
Cd  0.162  0.515  0.162
Cd  0.381  0.381  0.381
Cd  0.381  0.381  0.858
Cd  0.381  0.858  0.381
Cd  0.485  0.838  0.838
Cd  0.515  0.162  0.162
Cd  0.619  0.142  0.619
Cd  0.619  0.619  0.142
Cd  0.619  0.619  0.619
Cd  0.838  0.485  0.838
Cd  0.838  0.838  0.485
Cd  0.838  0.838  0.838
Cd  0.858  0.381  0.381
Au  0.000  0.000  0.500
Au  0.000  0.500  0.000
Au  0.000  0.500  0.500
Au  0.500  0.000  0.000
Au  0.500  0.000  0.500
Au  0.500  0.500  0.000
Au  0.500  0.500  0.500

[2]
Computed XRD peak list of NdCdAu2 for Cu Kα, 1.54184 Å, from DFT lattice parameters and positions (GGA-PBE).
Neutral-atom scattering factors, no anomalous dispersion.

Top 6 peaks for 2θ = 10–90°, in order of falling intensity:
- 35.54 deg, I = 100
- 63.82 deg, I = 37
- 51.14 deg, I = 18
- 86.06 deg, I = 17
- 75.23 deg, I = 11
- 24.92 deg, I = 5

Structural model:
Unit cell a=7.145 b=7.145 c=7.145 alpha=90.00 beta=90.00 gamma=90.00
Fractional positions:
Nd  0.000  0.000  0.000
Nd  0.000  0.500  0.500
Nd  0.500  0.000  0.500
Nd  0.500  0.500  0.000
Cd  0.000  0.000  0.500
Cd  0.000  0.500  0.000
Cd  0.500  0.000  0.000
Cd  0.500  0.500  0.500
Au  0.250  0.250  0.250
Au  0.250  0.250  0.750
Au  0.250  0.750  0.250
Au  0.250  0.750  0.750
Au  0.750  0.250  0.250
Au  0.750  0.250  0.750
Au  0.750  0.750  0.250
Au  0.750  0.750  0.750